Simulated powder diffractogram of H12PdI8N4 for copper Kα, from a cell relaxed with PBE.
Peak positions follow from Bragg's law for the DFT cell and can differ from measured ones.

Principal peaks in the range 2θ = 10–80°, by angle:
Position (°2θ), Rel. int.
18.7, 176
20.4, 1000
23.0, 530
26.3, 272
27.8, 170
29.7, 506
41.5, 165
42.0, 158

```
data_H12PdI8N4
_cell_length_a 9.635
_cell_length_b 8.697
_cell_length_c 13.221
_cell_angle_alpha 90.00
_cell_angle_beta 100.97
_cell_angle_gamma 90.00
_symmetry_space_group_name_H-M 'P 1'
_symmetry_Int_Tables_number 1
_symmetry_space_group_name_Hall 'P 1'
loop_
_atom_site_label
_atom_site_fract_x
_atom_site_fract_y
_atom_site_fract_z
H1 0.030 0.025 0.323
H2 0.030 0.475 0.323
H3 0.063 0.015 0.793
H4 0.063 0.485 0.793
H5 0.072 0.105 0.219
H6 0.072 0.395 0.219
H7 0.262 0.505 0.670
H8 0.262 0.995 0.670
H9 0.329 0.528 0.795
H10 0.329 0.972 0.795
H11 0.395 0.625 0.707
H12 0.395 0.875 0.707
H13 0.605 0.125 0.293
H14 0.605 0.375 0.293
H15 0.671 0.028 0.205
H16 0.671 0.472 0.205
H17 0.738 0.005 0.330
H18 0.738 0.495 0.330
H19 0.928 0.605 0.781
H20 0.928 0.895 0.781
H21 0.937 0.515 0.207
H22 0.937 0.985 0.207
H23 0.970 0.525 0.677
H24 0.970 0.975 0.677
Pd1 0.154 0.750 0.736
Pd2 0.846 0.250 0.264
I1 0.082 0.250 0.545
I2 0.105 0.750 0.054
I3 0.208 0.750 0.410
I4 0.211 0.250 0.907
I5 0.308 0.250 0.163
I6 0.389 0.250 0.383
I7 0.391 0.750 0.029
I8 0.499 0.750 0.369
I9 0.501 0.250 0.631
I10 0.609 0.250 0.971
I11 0.611 0.750 0.617
I12 0.692 0.750 0.837
I13 0.789 0.750 0.093
I14 0.792 0.250 0.590
I15 0.895 0.250 0.946
I16 0.918 0.750 0.455
N1 0.012 0.572 0.748
N2 0.012 0.928 0.748
N3 0.303 0.584 0.726
N4 0.303 0.916 0.726
N5 0.697 0.084 0.274
N6 0.697 0.416 0.274
N7 0.988 0.072 0.252
N8 0.988 0.428 0.252
```

=====

Simulated powder diffractogram of BiP4O12 for copper Kα, from a cell relaxed with PBE.
Peak positions follow from Bragg's law for the DFT cell and can differ from measured ones.

Principal peaks in the range 2θ = 10–80°, by angle:
Position (°2θ), Rel. int.
15.1, 975
15.9, 1000
16.1, 782
16.8, 952
26.3, 560
26.7, 555
27.0, 564
29.3, 490

```
data_BiP4O12
_cell_length_a 7.284
_cell_length_b 8.612
_cell_length_c 8.023
_cell_angle_alpha 90.00
_cell_angle_beta 92.37
_cell_angle_gamma 90.00
_symmetry_space_group_name_H-M 'P 1'
_symmetry_Int_Tables_number 1
_symmetry_space_group_name_Hall 'P 1'
loop_
_atom_site_label
_atom_site_fract_x
_atom_site_fract_y
_atom_site_fract_z
Bi1 0.248 0.000 0.246
Bi2 0.752 0.500 0.754
P1 0.064 0.625 0.403
P2 0.123 0.250 0.901
P3 0.399 0.421 0.390
P4 0.490 0.648 0.107
P5 0.510 0.148 0.893
P6 0.601 0.921 0.610
P7 0.877 0.750 0.099
P8 0.936 0.125 0.597
O1 0.041 0.405 0.856
O2 0.047 0.117 0.774
O3 0.067 0.102 0.460
O4 0.108 0.193 0.077
O5 0.180 0.769 0.423
O6 0.187 0.473 0.382
O7 0.321 0.747 0.111
O8 0.336 0.258 0.855
O9 0.407 0.260 0.321
O10 0.480 0.443 0.564
O11 0.482 0.046 0.042
O12 0.498 0.039 0.728
O13 0.502 0.539 0.272
O14 0.518 0.546 0.958
O15 0.520 0.943 0.436
O16 0.593 0.760 0.679
O17 0.664 0.758 0.145
O18 0.679 0.247 0.889
O19 0.813 0.973 0.618
O20 0.820 0.269 0.577
O21 0.892 0.693 0.923
O22 0.933 0.602 0.540
O23 0.953 0.617 0.226
O24 0.959 0.905 0.144
```

=====

Simulated powder diffractogram of Y16C7I14O2 for copper Kα, from a cell relaxed with PBE.
Peak positions follow from Bragg's law for the DFT cell and can differ from measured ones.

Principal peaks in the range 2θ = 10–80°, by angle:
Position (°2θ), Rel. int.
23.8, 509
27.2, 834
28.5, 440
29.4, 698
30.6, 1000
33.9, 719
34.6, 637
47.0, 622

```
data_Y16C7I14O2
_cell_length_a 26.232
_cell_length_b 26.232
_cell_length_c 11.144
_cell_angle_alpha 90.40
_cell_angle_beta 90.40
_cell_angle_gamma 8.45
_symmetry_space_group_name_H-M 'P 1'
_symmetry_Int_Tables_number 1
_symmetry_space_group_name_Hall 'P 1'
loop_
_atom_site_label
_atom_site_fract_x
_atom_site_fract_y
_atom_site_fract_z
Y1 0.013 0.013 0.142
Y2 0.110 0.110 0.022
Y3 0.205 0.205 0.169
Y4 0.234 0.234 0.894
Y5 0.325 0.325 0.046
Y6 0.354 0.354 0.779
Y7 0.428 0.428 0.788
Y8 0.454 0.454 0.062
Y9 0.546 0.546 0.938
Y10 0.572 0.572 0.212
Y11 0.646 0.646 0.221
Y12 0.675 0.675 0.954
Y13 0.766 0.766 0.106
Y14 0.795 0.795 0.831
Y15 0.890 0.890 0.978
Y16 0.987 0.987 0.858
C1 0.060 0.060 0.082
C2 0.159 0.159 0.094
C3 0.281 0.281 0.969
C4 0.500 0.500 0.000
C5 0.719 0.719 0.031
C6 0.841 0.841 0.906
C7 0.940 0.940 0.918
I1 0.041 0.041 0.721
I2 0.108 0.108 0.390
I3 0.181 0.181 0.742
I4 0.255 0.255 0.322
I5 0.310 0.310 0.605
I6 0.390 0.390 0.195
I7 0.475 0.475 0.632
I8 0.525 0.525 0.368
I9 0.610 0.610 0.805
I10 0.690 0.690 0.395
I11 0.745 0.745 0.678
I12 0.819 0.819 0.258
I13 0.892 0.892 0.610
I14 0.959 0.959 0.279
O1 0.391 0.391 0.879
O2 0.609 0.609 0.121
```

=====

Simulated powder diffractogram of UCrC2 for copper Kα, from a cell relaxed with PBE.
Peak positions follow from Bragg's law for the DFT cell and can differ from measured ones.

Principal peaks in the range 2θ = 10–80°, by angle:
Position (°2θ), Rel. int.
24.1, 303
25.4, 684
30.6, 313
30.9, 445
34.2, 1000
35.3, 481
50.2, 307
59.0, 311

```
data_UCrC2
_cell_length_a 5.246
_cell_length_b 3.729
_cell_length_c 10.395
_cell_angle_alpha 90.00
_cell_angle_beta 90.00
_cell_angle_gamma 90.00
_symmetry_space_group_name_H-M 'P 1'
_symmetry_Int_Tables_number 1
_symmetry_space_group_name_Hall 'P 1'
loop_
_atom_site_label
_atom_site_fract_x
_atom_site_fract_y
_atom_site_fract_z
U1 0.104 0.250 0.144
U2 0.396 0.750 0.644
U3 0.604 0.250 0.356
U4 0.896 0.750 0.856
Cr1 0.099 0.750 0.430
Cr2 0.401 0.250 0.930
Cr3 0.599 0.750 0.070
Cr4 0.901 0.250 0.570
C1 0.101 0.250 0.376
C2 0.245 0.750 0.001
C3 0.255 0.250 0.501
C4 0.399 0.750 0.876
C5 0.601 0.250 0.124
C6 0.745 0.750 0.499
C7 0.755 0.250 0.999
C8 0.899 0.750 0.624
```

=====

Number 1 is which compound? H12PdI8N4